(1)
HoPu5S6: computed X-ray powder pattern (Cu Kα (weighted mean of Kα1 and Kα2)), based on a DFT-relaxed cell (PBE, Alexandria).

Principal peaks in the range 10 to 90 degrees two-theta, by angle:
15.6°, 5.665 Å, I 1, hkl 1 1 0; 27.7°, 3.225 Å, I 100, hkl 2 0 0; 32.0°, 2.793 Å, I 96, hkl 1 3 1; 46.0°, 1.975 Å, I 71, hkl 2 0 2; 54.5°, 1.684 Å, I 50, hkl 3 3 1; 57.1°, 1.612 Å, I 25, hkl 4 0 0; 67.0°, 1.396 Å, I 12, hkl 2 6 2; 74.0°, 1.281 Å, I 21, hkl 4 0 2; 76.2°, 1.249 Å, I 33, hkl 4 6 0; 85.1°, 1.140 Å, I 25, hkl 5 3 1

```
data_HoPu5S6
_cell_length_a 6.8409
_cell_length_b 11.8468
_cell_length_c 6.8409
_cell_angle_alpha 90.00
_cell_angle_beta 109.47
_cell_angle_gamma 90.00
_symmetry_space_group_name_H-M 'C 1 2/m 1'
_symmetry_Int_Tables_number 12
_symmetry_space_group_name_Hall '-C 2y'
loop_
_atom_site_label
_atom_site_type_symbol
_atom_site_fract_x
_atom_site_fract_y
_atom_site_fract_z
_atom_site_occupancy
Ho1 Ho 0.0000 0.0000 0.0000 1
Pu1 Pu 0.0000 0.1672 0.5000 1
Pu2 Pu 0.0000 0.3335 0.0000 1
Pu3 Pu 0.0000 0.5000 0.5000 1
S1 S 0.2482 0.0000 0.7505 1
S2 S 0.2485 0.1658 0.2484 1
```



(2)
Y2HoSe: computed X-ray powder pattern (Cu Kα (weighted mean of Kα1 and Kα2)), based on a DFT-relaxed cell (PBE, Alexandria).

Principal peaks in the range 10 to 90 degrees two-theta, by angle:
27.3°, 3.268 Å, I 21, hkl 1 0 1; 27.9°, 3.203 Å, I 22, hkl 0 1 2; 28.6°, 3.119 Å, I 17, hkl 0 0 9; 30.0°, 2.979 Å, I 34, hkl 1 0 4; 31.5°, 2.839 Å, I 100, hkl 0 1 5; 35.3°, 2.544 Å, I 34, hkl 1 0 7; 42.3°, 2.135 Å, I 17, hkl 1 0 10; 47.9°, 1.900 Å, I 40, hkl 1 1 0; 58.5°, 1.579 Å, I 17, hkl 2 0 5; 63.0°, 1.475 Å, I 22, hkl 1 1 12

```
data_Y2HoSe
_cell_length_a 3.7991
_cell_length_b 3.7991
_cell_length_c 28.0688
_cell_angle_alpha 90.00
_cell_angle_beta 90.00
_cell_angle_gamma 120.00
_symmetry_space_group_name_H-M 'R 3 m'
_symmetry_Int_Tables_number 160
_symmetry_space_group_name_Hall 'R 3 -2"'
loop_
_atom_site_label
_atom_site_type_symbol
_atom_site_fract_x
_atom_site_fract_y
_atom_site_fract_z
_atom_site_occupancy
Y1 Y 0.0000 0.0000 0.0000 1
Y2 Y 0.0000 0.0000 0.2014 1
Ho1 Ho 0.0000 0.0000 0.4334 1
Se1 Se 0.0000 0.0000 0.6005 1
```



(3)
Dy4NiIr3: computed X-ray powder pattern (Cu Kα (weighted mean of Kα1 and Kα2)), based on a DFT-relaxed cell (PBE, Alexandria).

Principal peaks in the range 10 to 90 degrees two-theta, by angle:
36.7°, 2.452 Å, I 53, hkl 0 2 0; 37.5°, 2.398 Å, I 100, hkl 1 1 2; 52.8°, 1.734 Å, I 19, hkl 0 2 4; 55.3°, 1.660 Å, I 8, hkl 2 0 0; 66.6°, 1.405 Å, I 37, hkl 1 3 2; 68.2°, 1.375 Å, I 17, hkl 2 2 0; 77.9°, 1.226 Å, I 6, hkl 0 4 0; 80.0°, 1.199 Å, I 11, hkl 2 2 4; 89.3°, 1.097 Å, I 5, hkl 0 4 4; 89.9°, 1.091 Å, I 9, hkl 1 3 6

```
data_Dy4NiIr3
_cell_length_a 3.3199
_cell_length_b 4.9050
_cell_length_c 9.8028
_cell_angle_alpha 90.00
_cell_angle_beta 90.00
_cell_angle_gamma 90.00
_symmetry_space_group_name_H-M 'P m m m'
_symmetry_Int_Tables_number 47
_symmetry_space_group_name_Hall '-P 2 2'
loop_
_atom_site_label
_atom_site_type_symbol
_atom_site_fract_x
_atom_site_fract_y
_atom_site_fract_z
_atom_site_occupancy
Dy1 Dy 0.0000 0.0000 0.0000 1
Dy2 Dy 0.0000 0.0000 0.5000 1
Dy3 Dy 0.0000 0.5000 0.2486 1
Ni1 Ni 0.5000 0.5000 0.0000 1
Ir1 Ir 0.5000 0.0000 0.2481 1
Ir2 Ir 0.5000 0.5000 0.5000 1
```



(4)
Tb2TiCuO6: computed X-ray powder pattern (Cu Kα (weighted mean of Kα1 and Kα2)), based on a DFT-relaxed cell (PBE, Alexandria).

Principal peaks in the range 10 to 90 degrees two-theta, by angle:
15.7°, 5.651 Å, I 33, hkl 0 0 2; 28.2°, 3.160 Å, I 49, hkl 1 0 0; 29.3°, 3.043 Å, I 26, hkl 1 0 1; 31.7°, 2.826 Å, I 27, hkl 0 0 4; 32.5°, 2.758 Å, I 100, hkl 1 0 2; 42.9°, 2.106 Å, I 31, hkl 1 0 4; 49.6°, 1.839 Å, I 17, hkl 1 0 5; 50.0°, 1.825 Å, I 41, hkl 1 1 0; 60.4°, 1.533 Å, I 24, hkl 1 1 4; 60.9°, 1.522 Å, I 17, hkl 2 0 2

```
data_Tb2TiCuO6
_cell_length_a 3.6491
_cell_length_b 3.6491
_cell_length_c 11.3022
_cell_angle_alpha 90.00
_cell_angle_beta 90.00
_cell_angle_gamma 120.00
_symmetry_space_group_name_H-M 'P -6 m 2'
_symmetry_Int_Tables_number 187
_symmetry_space_group_name_Hall 'P -6 2'
loop_
_atom_site_label
_atom_site_type_symbol
_atom_site_fract_x
_atom_site_fract_y
_atom_site_fract_z
_atom_site_occupancy
Tb1 Tb 0.0000 0.0000 0.2267 1
Ti1 Ti 0.3333 0.6667 0.5000 1
Cu1 Cu 0.6667 0.3333 0.0000 1
O1 O 0.0000 0.0000 0.0000 1
O2 O 0.0000 0.0000 0.5000 1
O3 O 0.3333 0.6667 0.3347 1
O4 O 0.6667 0.3333 0.1675 1
```



(5)
HoTmSc2S6: computed X-ray powder pattern (Cu Kα (weighted mean of Kα1 and Kα2)), based on a DFT-relaxed cell (PBE, Alexandria).

Principal peaks in the range 10 to 90 degrees two-theta, by angle:
18.3°, 4.850 Å, I 100, hkl 0 1 2; 25.2°, 3.536 Å, I 83, hkl 1 0 4; 26.8°, 3.332 Å, I 61, hkl 1 1 0; 30.7°, 2.909 Å, I 23, hkl 2 -1 3; 32.6°, 2.746 Å, I 28, hkl 2 0 2; 37.1°, 2.425 Å, I 39, hkl 0 2 4; 40.6°, 2.222 Å, I 80, hkl 2 -1 6; 42.7°, 2.119 Å, I 23, hkl 3 -2 2; 46.3°, 1.961 Å, I 38, hkl 3 -1 4; 47.3°, 1.924 Å, I 42, hkl 3 0 0

```
data_HoTmSc2S6
_cell_length_a 6.6635
_cell_length_b 6.6635
_cell_length_c 17.8976
_cell_angle_alpha 90.00
_cell_angle_beta 90.00
_cell_angle_gamma 120.00
_symmetry_space_group_name_H-M 'R 3'
_symmetry_Int_Tables_number 146
_symmetry_space_group_name_Hall 'R 3'
loop_
_atom_site_label
_atom_site_type_symbol
_atom_site_fract_x
_atom_site_fract_y
_atom_site_fract_z
_atom_site_occupancy
Ho1 Ho 0.0000 0.0000 0.0000 1
Tm1 Tm 0.0000 0.0000 0.4986 1
Sc1 Sc 0.0000 0.0000 0.3009 1
Sc2 Sc 0.0000 0.0000 0.8016 1
S1 S 0.0178 0.3729 0.5620 1
S2 S 0.0182 0.6410 0.0622 1
```



(6)
Sr2BIrSe: computed X-ray powder pattern (Cu Kα (weighted mean of Kα1 and Kα2)), based on a DFT-relaxed cell (PBE, Alexandria).

Principal peaks in the range 10 to 90 degrees two-theta, by angle:
15.8°, 5.595 Å, I 13, hkl 1 0 0; 22.5°, 3.957 Å, I 6, hkl 1 1 0; 27.6°, 3.232 Å, I 5, hkl 1 0 1; 32.0°, 2.798 Å, I 100, hkl 2 0 0; 35.9°, 2.502 Å, I 3, hkl 2 1 0; 45.9°, 1.979 Å, I 19, hkl 2 2 0; 57.0°, 1.616 Å, I 38, hkl 2 0 2; 66.9°, 1.399 Å, I 12, hkl 4 0 0; 76.0°, 1.252 Å, I 17, hkl 4 2 0; 84.9°, 1.142 Å, I 4, hkl 4 0 2

```
data_Sr2BIrSe
_cell_length_a 5.5953
_cell_length_b 5.5953
_cell_length_c 3.9599
_cell_angle_alpha 90.00
_cell_angle_beta 90.00
_cell_angle_gamma 90.00
_symmetry_space_group_name_H-M 'P 4/m m m'
_symmetry_Int_Tables_number 123
_symmetry_space_group_name_Hall '-P 4 2'
loop_
_atom_site_label
_atom_site_type_symbol
_atom_site_fract_x
_atom_site_fract_y
_atom_site_fract_z
_atom_site_occupancy
Sr1 Sr 0.0000 0.5000 0.0000 1
B1 B 0.0000 0.0000 0.0000 1
Ir1 Ir 0.0000 0.0000 0.5000 1
Se1 Se 0.5000 0.5000 0.5000 1
```



(7)
Mg2TlSn: computed X-ray powder pattern (Cu Kα (weighted mean of Kα1 and Kα2)), based on a DFT-relaxed cell (PBE, Alexandria).

Principal peaks in the range 10 to 90 degrees two-theta, by angle:
23.8°, 3.731 Å, I 68, hkl 1 0 0; 25.1°, 3.542 Å, I 30, hkl 0 0 2; 34.0°, 2.638 Å, I 54, hkl 1 1 0; 34.9°, 2.569 Å, I 100, hkl 1 0 2; 42.7°, 2.116 Å, I 30, hkl 1 1 2; 48.8°, 1.865 Å, I 20, hkl 2 0 0; 55.0°, 1.669 Å, I 15, hkl 2 1 0; 55.7°, 1.651 Å, I 14, hkl 2 0 2; 61.4°, 1.509 Å, I 40, hkl 2 1 2; 63.2°, 1.470 Å, I 18, hkl 1 1 4

```
data_Mg2TlSn
_cell_length_a 3.7310
_cell_length_b 3.7310
_cell_length_c 7.0831
_cell_angle_alpha 90.00
_cell_angle_beta 90.00
_cell_angle_gamma 90.00
_symmetry_space_group_name_H-M 'P 4/m m m'
_symmetry_Int_Tables_number 123
_symmetry_space_group_name_Hall '-P 4 2'
loop_
_atom_site_label
_atom_site_type_symbol
_atom_site_fract_x
_atom_site_fract_y
_atom_site_fract_z
_atom_site_occupancy
Mg1 Mg 0.0000 0.0000 0.2446 1
Tl1 Tl 0.5000 0.5000 0.5000 1
Sn1 Sn 0.5000 0.5000 0.0000 1
```



(8)
Sr2OsO5: computed X-ray powder pattern (Cu Kα (weighted mean of Kα1 and Kα2)), based on a DFT-relaxed cell (PBE, Alexandria).

Principal peaks in the range 10 to 90 degrees two-theta, by angle:
15.8°, 5.592 Å, I 30, hkl 0 0 2; 21.7°, 4.090 Å, I 48, hkl 1 1 1; 28.9°, 3.086 Å, I 100, hkl 0 1 3; 29.2°, 3.058 Å, I 34, hkl 2 0 2; 29.4°, 3.043 Å, I 52, hkl 2 1 0; 32.6°, 2.750 Å, I 48, hkl 0 2 0; 33.5°, 2.673 Å, I 37, hkl 2 1 2; 34.4°, 2.609 Å, I 29, hkl 2 0 3; 44.3°, 2.045 Å, I 28, hkl 2 2 2; 48.1°, 1.893 Å, I 32, hkl 2 2 3

```
data_Sr2OsO5
_cell_length_a 7.3042
_cell_length_b 5.5008
_cell_length_c 11.1833
_cell_angle_alpha 90.00
_cell_angle_beta 90.00
_cell_angle_gamma 90.00
_symmetry_space_group_name_H-M 'P n m a'
_symmetry_Int_Tables_number 62
_symmetry_space_group_name_Hall '-P 2ac 2n'
loop_
_atom_site_label
_atom_site_type_symbol
_atom_site_fract_x
_atom_site_fract_y
_atom_site_fract_z
_atom_site_occupancy
Sr1 Sr 0.0121 0.2500 0.2200 1
Sr2 Sr 0.1540 0.7500 0.4194 1
Os1 Os 0.1738 0.7500 0.0593 1
O1 O 0.0000 0.0000 0.0000 1
O2 O 0.0446 0.7500 0.2063 1
O3 O 0.1642 0.0034 0.6092 1
O4 O 0.2182 0.2500 0.3950 1
```



(9)
Pm2Ga8Cu: computed X-ray powder pattern (Cu Kα (weighted mean of Kα1 and Kα2)), based on a DFT-relaxed cell (PBE, Alexandria).

Principal peaks in the range 10 to 90 degrees two-theta, by angle:
20.3°, 4.376 Å, I 18, hkl 1 0 0; 33.0°, 2.712 Å, I 44, hkl 1 1 2; 37.7°, 2.388 Å, I 100, hkl 1 1 3; 40.0°, 2.252 Å, I 19, hkl 0 0 5; 41.3°, 2.188 Å, I 57, hkl 2 0 0; 58.8°, 1.569 Å, I 24, hkl 2 0 5; 59.8°, 1.547 Å, I 18, hkl 2 2 0; 72.8°, 1.299 Å, I 28, hkl 3 1 3; 74.0°, 1.281 Å, I 13, hkl 1 1 8; 74.4°, 1.275 Å, I 12, hkl 2 2 5

```
data_Pm2Ga8Cu
_cell_length_a 4.3765
_cell_length_b 4.3765
_cell_length_c 11.2602
_cell_angle_alpha 90.00
_cell_angle_beta 90.00
_cell_angle_gamma 90.00
_symmetry_space_group_name_H-M 'P 4/m m m'
_symmetry_Int_Tables_number 123
_symmetry_space_group_name_Hall '-P 4 2'
loop_
_atom_site_label
_atom_site_type_symbol
_atom_site_fract_x
_atom_site_fract_y
_atom_site_fract_z
_atom_site_occupancy
Pm1 Pm 0.0000 0.0000 0.1931 1
Ga1 Ga 0.0000 0.5000 0.0000 1
Ga2 Ga 0.0000 0.5000 0.3794 1
Ga3 Ga 0.5000 0.5000 0.1987 1
Cu1 Cu 0.0000 0.0000 0.5000 1
```



(10)
La2Dy4Th: computed X-ray powder pattern (Cu Kα (weighted mean of Kα1 and Kα2)), based on a DFT-relaxed cell (PBE, Alexandria).

Principal peaks in the range 10 to 90 degrees two-theta, by angle:
15.7°, 5.635 Å, I 11, hkl 2 0 0; 25.0°, 3.557 Å, I 11, hkl 2 2 1; 31.8°, 2.817 Å, I 55, hkl 4 0 0; 31.9°, 2.802 Å, I 100, hkl 2 2 -2; 45.5°, 1.992 Å, I 20, hkl 4 4 0; 46.0°, 1.971 Å, I 7, hkl 0 0 4; 56.7°, 1.624 Å, I 39, hkl 6 2 -2; 57.0°, 1.615 Å, I 15, hkl 4 0 -4; 66.8°, 1.401 Å, I 10, hkl 4 4 -4; 75.5°, 1.260 Å, I 13, hkl 8 4 0

```
data_La2Dy4Th
_cell_length_a 11.2694
_cell_length_b 11.2703
_cell_length_c 7.8849
_cell_angle_alpha 90.00
_cell_angle_beta 90.07
_cell_angle_gamma 90.00
_symmetry_space_group_name_H-M 'C 1 2/m 1'
_symmetry_Int_Tables_number 12
_symmetry_space_group_name_Hall '-C 2y'
loop_
_atom_site_label
_atom_site_type_symbol
_atom_site_fract_x
_atom_site_fract_y
_atom_site_fract_z
_atom_site_occupancy
La1 La 0.0000 0.0000 0.0000 1
La2 La 0.0000 0.0000 0.5000 1
La3 La 0.2500 0.2500 0.0000 1
Dy1 Dy 0.0004 0.2530 0.2788 1
Dy2 Dy 0.2470 0.5000 0.2790 1
Dy3 Dy 0.2470 0.5000 0.7213 1
Th1 Th 0.0000 0.5000 0.0000 1
Th2 Th 0.0000 0.5000 0.5000 1
```



(11)
NaTlTeCl6: computed X-ray powder pattern (Cu Kα (weighted mean of Kα1 and Kα2)), based on a DFT-relaxed cell (PBE, Alexandria).

Principal peaks in the range 10 to 90 degrees two-theta, by angle:
15.8°, 5.624 Å, I 23, hkl 1 0 1; 19.4°, 4.579 Å, I 100, hkl 1 0 2; 25.0°, 3.563 Å, I 21, hkl 1 1 0; 28.3°, 3.159 Å, I 19, hkl 2 -1 2; 31.8°, 2.812 Å, I 26, hkl 2 0 2; 36.4°, 2.465 Å, I 52, hkl 1 1 4; 40.9°, 2.207 Å, I 30, hkl 2 1 2; 44.0°, 2.057 Å, I 20, hkl 3 0 0; 55.3°, 1.660 Å, I 13, hkl 4 -1 2; 56.5°, 1.629 Å, I 12, hkl 3 -1 6

```
data_NaTlTeCl6
_cell_length_a 7.1254
_cell_length_b 7.1254
_cell_length_c 13.6590
_cell_angle_alpha 90.00
_cell_angle_beta 90.00
_cell_angle_gamma 120.00
_symmetry_space_group_name_H-M 'P -3 1 c'
_symmetry_Int_Tables_number 163
_symmetry_space_group_name_Hall '-P 3 2c'
loop_
_atom_site_label
_atom_site_type_symbol
_atom_site_fract_x
_atom_site_fract_y
_atom_site_fract_z
_atom_site_occupancy
Na1 Na 0.3333 0.6667 0.2500 1
Tl1 Tl 0.0000 0.0000 0.0000 1
Te1 Te 0.3333 0.6667 0.7500 1
Cl1 Cl 0.0294 0.3813 0.6411 1
```



(12)
V3Re2W3: computed X-ray powder pattern (Cu Kα (weighted mean of Kα1 and Kα2)), based on a DFT-relaxed cell (PBE, Alexandria).

Principal peaks in the range 10 to 90 degrees two-theta, by angle:
17.3°, 5.115 Å, I 22, hkl 0 0 1; 26.4°, 3.377 Å, I 22, hkl 0 4 1; 38.6°, 2.334 Å, I 18, hkl 1 0 1; 39.6°, 2.276 Å, I 62, hkl 1 4 0; 40.1°, 2.248 Å, I 52, hkl 0 8 0; 40.6°, 2.223 Å, I 100, hkl 0 4 2; 43.3°, 2.087 Å, I 23, hkl 1 4 -1; 49.3°, 1.848 Å, I 16, hkl 1 0 -2; 65.4°, 1.427 Å, I 14, hkl 1 8 -2; 73.2°, 1.293 Å, I 17, hkl 0 12 2

```
data_V3Re2W3
_cell_length_a 2.6390
_cell_length_b 17.9812
_cell_length_c 5.1152
_cell_angle_alpha 90.00
_cell_angle_beta 90.70
_cell_angle_gamma 90.00
_symmetry_space_group_name_H-M 'P 1 21/m 1'
_symmetry_Int_Tables_number 11
_symmetry_space_group_name_Hall '-P 2yb'
loop_
_atom_site_label
_atom_site_type_symbol
_atom_site_fract_x
_atom_site_fract_y
_atom_site_fract_z
_atom_site_occupancy
V1 V 0.0368 0.2500 0.2526 1
V2 V 0.3613 0.1271 0.4962 1
Re1 Re 0.3837 0.6271 0.9971 1
W1 W 0.0494 0.7500 0.2562 1
W2 W 0.1487 0.9996 0.2535 1
```



(13)
Np4Bi8Pd3: computed X-ray powder pattern (Cu Kα (weighted mean of Kα1 and Kα2)), based on a DFT-relaxed cell (PBE, Alexandria).

Principal peaks in the range 10 to 90 degrees two-theta, by angle:
28.4°, 3.145 Å, I 17, hkl 0 0 6; 29.0°, 3.079 Å, I 23, hkl 1 1 2; 33.4°, 2.680 Å, I 100, hkl 1 1 4; 34.5°, 2.597 Å, I 8, hkl 1 0 6; 39.1°, 2.303 Å, I 44, hkl 2 0 0; 49.0°, 1.858 Å, I 16, hkl 2 0 6; 55.8°, 1.648 Å, I 10, hkl 2 0 8; 56.3°, 1.633 Å, I 10, hkl 1 1 10; 56.5°, 1.629 Å, I 15, hkl 2 2 0; 67.3°, 1.392 Å, I 35, hkl 3 1 4

```
data_Np4Bi8Pd3
_cell_length_a 4.6064
_cell_length_b 4.6064
_cell_length_c 18.8702
_cell_angle_alpha 90.00
_cell_angle_beta 90.00
_cell_angle_gamma 90.00
_symmetry_space_group_name_H-M 'P -4 m 2'
_symmetry_Int_Tables_number 115
_symmetry_space_group_name_Hall 'P -4 -2'
loop_
_atom_site_label
_atom_site_type_symbol
_atom_site_fract_x
_atom_site_fract_y
_atom_site_fract_z
_atom_site_occupancy
Np1 Np 0.0000 0.5000 0.1109 1
Np2 Np 0.0000 0.5000 0.6168 1
Bi1 Bi 0.0000 0.0000 0.2463 1
Bi2 Bi 0.0000 0.5000 0.4092 1
Bi3 Bi 0.0000 0.5000 0.9170 1
Bi4 Bi 0.5000 0.5000 0.2468 1
Pd1 Pd 0.0000 0.0000 0.0000 1
Pd2 Pd 0.0000 0.0000 0.5000 1
Pd3 Pd 0.5000 0.5000 0.5000 1
```